Diffraction record for Be4SiTc. The X-ray diffraction stick pattern is theoretical, not measured: it uses a structure optimized by DFT (GGA-PBE) and Cu Kα X-rays.
No peak broadening, texture or thermal motion is included.

Peak list (10 most intense, 2θ = 10–90°, by angle)
4.568 Å, I 36.3; 3.926 Å, I 97.3; 3.842 Å, I 34.8; 2.951 Å, I 100.0; 2.457 Å, I 28.5; 2.189 Å, I 26.3; 1.999 Å, I 37.1; 1.956 Å, I 94.0; 1.921 Å, I 21.8; 1.705 Å, I 25.8

Cell and atoms:
```
Be4SiTc
1.0
1.706 -4.568 0.000
1.706 4.568 0.000
0.000 0.000 7.684
Be Si Tc
8 2 2
Cartesian
1.706 4.540 3.842
1.706 3.284 1.852
1.706 1.385 3.947
1.706 0.145 6.093
1.706 -0.145 2.251
1.706 -1.385 0.105
1.706 -3.284 5.694
1.706 -4.540 0.000
1.706 1.556 0.163
1.706 -1.556 4.005
1.706 3.025 5.837
1.706 -3.025 1.995
```